Structure and calculated X-ray powder pattern of CoReN2 (a GGA-PBE-relaxed structure; Cu Kα (weighted mean of Kα1 and Kα2)).

Crystal structure
```
data_CoReN2
_space_group_name_H-M_alt 'P 63/m m c'
_space_group_IT_number 194
_space_group_name_Hall '-P 6c 2c'
_cell_length_a 2.8242
_cell_length_b 2.8242
_cell_length_c 11.2587
_cell_angle_alpha 90.00
_cell_angle_beta 90.00
_cell_angle_gamma 120.00
loop_
_atom_site_label
_atom_site_type_symbol
_atom_site_fract_x
_atom_site_fract_y
_atom_site_fract_z
Co1 Co 0.0000 0.0000 0.0000
Re1 Re 0.3333 0.6667 0.2500
N1 N 0.3333 0.6667 0.6334
```

The 12 most intense peaks (10° ≤ 2θ ≤ 90°), in order of rising 2θ:
two_theta	I/Imax	hkl
15.7	100	0 0 2
31.8	59	0 0 4
37.6	96	1 0 1
40.2	95	1 0 2
44.2	89	1 0 3
55.5	48	1 0 5
62.4	24	1 0 6
66.2	31	1 1 0
68.5	14	1 1 2
70.0	18	1 0 7
75.3	32	1 1 4
83.1	14	2 0 3



Structure and calculated X-ray powder pattern of Na3Si2PO8 (a GGA-PBE-relaxed structure; Cu Kα (weighted mean of Kα1 and Kα2)).

Crystal structure
```
data_Na3Si2PO8
_space_group_name_H-M_alt 'P 1 21 1'
_space_group_IT_number 4
_cell_length_a 10.852
_cell_length_b 7.184
_cell_length_c 12.307
_cell_angle_alpha 90.00
_cell_angle_beta 90.06
_cell_angle_gamma 90.00
loop_
_space_group_symop_operation_xyz
'x,y,z'
'-x,y+1/2,-z'
loop_
_atom_site_label
_atom_site_type_symbol
_atom_site_fract_x
_atom_site_fract_y
_atom_site_fract_z
Na1 Na 0.028 0.000 0.152
Na2 Na 0.033 0.408 0.317
Na3 Na 0.037 0.347 0.621
Na4 Na 0.463 0.255 0.121
Na5 Na 0.467 0.193 0.816
Na6 Na 0.472 0.601 0.653
Si1 Si 0.138 0.161 0.868
Si2 Si 0.208 0.079 0.409
Si3 Si 0.291 0.521 0.910
Si4 Si 0.362 0.440 0.368
P1 P 0.246 0.914 0.971
P2 P 0.253 0.686 0.471
O1 O 0.037 0.165 0.776
O2 O 0.072 0.956 0.523
O3 O 0.107 0.022 0.978
O4 O 0.117 0.099 0.309
O5 O 0.153 0.128 0.533
O6 O 0.171 0.375 0.903
O7 O 0.206 0.720 0.914
O8 O 0.225 0.557 0.359
O9 O 0.275 0.043 0.859
O10 O 0.294 0.881 0.414
O11 O 0.329 0.225 0.403
O12 O 0.347 0.474 0.033
O13 O 0.383 0.502 0.809
O14 O 0.392 0.578 0.479
O15 O 0.428 0.646 0.023
O16 O 0.464 0.436 0.277
```

The 12 most intense peaks (10° ≤ 2θ ≤ 90°), in order of rising 2θ:
two_theta	I/Imax	hkl
14.4	15	0 0 2
16.5	9	1 1 1
16.6	100	1 0 2
20.5	39	2 1 0
20.7	10	1 1 -2
21.8	26	2 0 2
24.8	8	0 2 0
27.3	8	2 0 3
27.6	10	3 1 0
30.7	15	2 2 1
36.0	10	3 2 1
41.9	8	4 1 3



Structure and calculated X-ray powder pattern of Li2Ca2Ta3O10 (a GGA-PBE-relaxed structure; Cu Kα (weighted mean of Kα1 and Kα2)).

Crystal structure
```
data_Li2Ca2Ta3O10
_space_group_name_H-M_alt 'I 4/m m m'
_space_group_IT_number 139
_space_group_name_Hall '-I 4 2'
_cell_length_a 3.987
_cell_length_b 3.987
_cell_length_c 26.532
_cell_angle_alpha 90.00
_cell_angle_beta 90.00
_cell_angle_gamma 90.00
loop_
_atom_site_label
_atom_site_type_symbol
_atom_site_fract_x
_atom_site_fract_y
_atom_site_fract_z
Li1 Li 0.000 0.500 0.250
Ca1 Ca 0.000 0.000 0.085
Ta1 Ta 0.000 0.000 0.346
Ta2 Ta 0.000 0.000 0.500
O1 O 0.000 0.000 0.274
O2 O 0.000 0.000 0.425
O3 O 0.000 0.500 0.000
O4 O 0.000 0.500 0.144
```

The 12 most intense peaks (10° ≤ 2θ ≤ 90°), in order of rising 2θ:
two_theta	I/Imax	hkl
20.1	51	0 0 6
22.6	100	1 0 1
24.5	22	1 0 3
28.0	47	1 0 5
31.7	60	1 1 0
32.6	84	1 0 7
37.8	20	1 1 6
45.5	41	2 0 0
50.2	47	1 0 13
51.4	22	2 1 1
57.1	36	2 1 7
70.1	28	2 1 13



Structure and calculated X-ray powder pattern of AgPbBrO (a GGA-PBE-relaxed structure; Cu Kα (weighted mean of Kα1 and Kα2)).

Crystal structure
```
data_AgPbBrO
_space_group_name_H-M_alt 'P 4/n m m'
_space_group_IT_number 129
_cell_length_a 4.027
_cell_length_b 4.027
_cell_length_c 14.242
_cell_angle_alpha 90.00
_cell_angle_beta 90.00
_cell_angle_gamma 90.00
loop_
_space_group_symop_operation_xyz
'x,y,z'
'-x,-y,-z'
'-y+1/2,x,z'
'y+1/2,-x,-z'
'-x+1/2,-y+1/2,z'
'x+1/2,y+1/2,-z'
'y,-x+1/2,z'
'-y,x+1/2,-z'
'x+1/2,-y,-z'
'-x+1/2,y,z'
'-y,-x,-z'
'y,x,z'
'-x,y+1/2,-z'
'x,-y+1/2,z'
'y+1/2,x+1/2,-z'
'-y+1/2,-x+1/2,z'
loop_
_atom_site_label
_atom_site_type_symbol
_atom_site_fract_x
_atom_site_fract_y
_atom_site_fract_z
Ag1 Ag 0.250 0.250 0.092
Pb1 Pb 0.250 0.250 0.585
Br1 Br 0.250 0.250 0.886
O1 O 0.250 0.750 0.500
```

The 12 most intense peaks (10° ≤ 2θ ≤ 90°), in order of rising 2θ:
two_theta	I/Imax	hkl
12.4	91	0 0 2
22.9	27	1 0 1
25.0	37	0 0 4
25.4	93	1 0 2
29.1	43	1 0 3
31.4	100	1 1 0
33.6	63	1 0 4
40.6	53	1 1 4
45.0	44	2 0 0
50.0	48	1 1 6
52.4	27	2 1 2
57.3	27	2 1 4



Number 3 is which compound?
Li2Ca2Ta3O10